No. 1
The following is a theoretical PXRD pattern of TcNi5Pd. It was derived from a DFT-relaxed cell (GGA-PBE, Alexandria), using Cu Kα (weighted mean of Kα1 and Kα2).
Kinematic intensities with the Lorentz-polarization factor, no thermal factor.

Most intense lines, 5° ≤ 2θ ≤ 70°, in order of rising 2θ:
2θ = 41.00°, I 16
2θ = 41.29°, I 77
2θ = 43.23°, I 26
2θ = 44.12°, I 24
2θ = 44.85°, I 59
2θ = 45.01°, I 100
2θ = 45.70°, I 55
2θ = 45.89°, I 14
2θ = 50.83°, I 14
2θ = 52.28°, I 19

Structural model:
Unit cell a=6.138 b=6.859 c=8.608 alpha=90.00 beta=109.03 gamma=90.00
Atoms (fractional coordinates):
Tc1 0.002 0.103 0.191
Tc2 0.002 0.397 0.691
Tc3 0.998 0.603 0.309
Tc4 0.998 0.897 0.809
Ni1 0.133 0.209 0.952
Ni2 0.133 0.291 0.452
Ni3 0.144 0.586 0.958
Ni4 0.144 0.914 0.458
Ni5 0.275 0.111 0.719
Ni6 0.275 0.389 0.219
Ni7 0.275 0.613 0.619
Ni8 0.275 0.887 0.119
Ni9 0.429 0.084 0.365
Ni10 0.429 0.416 0.865
Ni11 0.571 0.584 0.135
Ni12 0.571 0.916 0.635
Ni13 0.725 0.113 0.881
Ni14 0.725 0.387 0.381
Ni15 0.725 0.611 0.781
Ni16 0.725 0.889 0.281
Ni17 0.856 0.086 0.542
Ni18 0.856 0.414 0.042
Ni19 0.867 0.709 0.548
Ni20 0.867 0.791 0.048
Pd1 0.442 0.685 0.388
Pd2 0.442 0.815 0.888
Pd3 0.558 0.185 0.112
Pd4 0.558 0.315 0.612

No. 2
The following is a theoretical PXRD pattern of Ce2HoTmS5. It was derived from a DFT-relaxed cell (GGA-PBE, Alexandria), using Cu Kα (weighted mean of Kα1 and Kα2).
Kinematic intensities with the Lorentz-polarization factor, no thermal factor.

Most intense lines, 5° ≤ 2θ ≤ 70°, in order of rising 2θ:
2θ = 8.63°, I 21
2θ = 25.26°, I 100
2θ = 25.92°, I 94
2θ = 32.03°, I 19
2θ = 36.99°, I 53
2θ = 44.10°, I 23
2θ = 45.32°, I 44
2θ = 51.87°, I 25
2θ = 53.31°, I 18
2θ = 60.21°, I 19

Structural model:
Unit cell a=4.861 b=4.861 c=10.243 alpha=90.00 beta=90.00 gamma=90.00
Atoms (fractional coordinates):
Ce1 0.000 0.000 0.202
Ce2 0.000 0.000 0.798
Ho1 0.500 0.500 0.500
Tm1 0.500 0.500 0.000
S1 0.000 0.000 0.500
S2 0.000 0.500 0.000
S3 0.500 0.000 0.000
S4 0.500 0.500 0.255
S5 0.500 0.500 0.745

No. 3
The following is a theoretical PXRD pattern of Th3BiRuSe. It was derived from a DFT-relaxed cell (GGA-PBE, Alexandria), using Cu Kα (weighted mean of Kα1 and Kα2).
Kinematic intensities with the Lorentz-polarization factor, no thermal factor.

Most intense lines, 5° ≤ 2θ ≤ 70°, in order of rising 2θ:
2θ = 27.20°, I 58
2θ = 29.42°, I 38
2θ = 29.64°, I 100
2θ = 29.76°, I 59
2θ = 30.75°, I 36
2θ = 34.97°, I 43
2θ = 36.33°, I 36
2θ = 36.61°, I 41
2θ = 41.06°, I 34
2θ = 42.42°, I 60

Structural model:
Unit cell a=8.552 b=4.262 c=9.791 alpha=90.00 beta=111.52 gamma=90.00
Atoms (fractional coordinates):
Th1 0.169 0.250 0.145
Th2 0.245 0.750 0.482
Th3 0.311 0.750 0.876
Th4 0.689 0.250 0.124
Th5 0.755 0.250 0.518
Th6 0.831 0.750 0.855
Bi1 0.487 0.750 0.260
Bi2 0.513 0.250 0.740
Ru1 0.008 0.750 0.612
Ru2 0.992 0.250 0.388
Se1 0.052 0.250 0.810
Se2 0.948 0.750 0.190

No. 4
The following is a theoretical PXRD pattern of Ac3Ge6PdAu2. It was derived from a DFT-relaxed cell (GGA-PBE, Alexandria), using Cu Kα (weighted mean of Kα1 and Kα2).
Kinematic intensities with the Lorentz-polarization factor, no thermal factor.

Most intense lines, 5° ≤ 2θ ≤ 70°, in order of rising 2θ:
2θ = 26.36°, I 35
2θ = 28.42°, I 100
2θ = 31.08°, I 40
2θ = 34.58°, I 40
2θ = 35.34°, I 52
2θ = 39.15°, I 46
2θ = 42.61°, I 41
2θ = 50.33°, I 19
2θ = 58.81°, I 27
2θ = 68.02°, I 22

Structural model:
Unit cell a=6.281 b=6.281 c=8.633 alpha=90.00 beta=90.00 gamma=120.00
Atoms (fractional coordinates):
Ac1 0.000 0.000 0.000
Ac2 0.333 0.667 0.654
Ac3 0.667 0.333 0.346
Ge1 0.193 0.385 0.305
Ge2 0.193 0.807 0.305
Ge3 0.385 0.193 0.695
Ge4 0.615 0.807 0.305
Ge5 0.807 0.193 0.695
Ge6 0.807 0.615 0.695
Pd1 0.000 0.000 0.500
Au1 0.333 0.667 0.021
Au2 0.667 0.333 0.979

No. 5
The following is a theoretical PXRD pattern of Na8B13C3. It was derived from a DFT-relaxed cell (GGA-PBE, Alexandria), using Cu Kα (weighted mean of Kα1 and Kα2).
Kinematic intensities with the Lorentz-polarization factor, no thermal factor.

Most intense lines, 5° ≤ 2θ ≤ 70°, in order of rising 2θ:
2θ = 33.55°, I 14
2θ = 36.34°, I 16
2θ = 39.61°, I 51
2θ = 41.58°, I 38
2θ = 42.05°, I 100
2θ = 54.45°, I 7
2θ = 56.39°, I 10
2θ = 61.81°, I 18
2θ = 65.84°, I 3
2θ = 67.12°, I 7

Structural model:
Unit cell a=2.789 b=8.687 c=10.684 alpha=90.00 beta=90.00 gamma=90.00
Atoms (fractional coordinates):
Na1 0.000 0.249 0.000
Na2 0.000 0.249 0.497
Na3 0.000 0.751 0.000
Na4 0.000 0.751 0.497
Na5 0.500 0.249 0.248
Na6 0.500 0.250 0.748
Na7 0.500 0.750 0.748
Na8 0.500 0.751 0.248
B1 0.000 0.000 0.175
B2 0.000 0.000 0.333
B3 0.000 0.000 0.654
B4 0.000 0.000 0.815
B5 0.000 0.500 0.330
B6 0.000 0.500 0.662
B7 0.000 0.500 0.825
B8 0.500 0.000 0.075
B9 0.500 0.000 0.434
B10 0.500 0.000 0.917
B11 0.500 0.500 0.101
B12 0.500 0.500 0.555
B13 0.500 0.500 0.934
C1 0.000 0.500 0.178
C2 0.500 0.000 0.579
C3 0.500 0.500 0.408

No. 6
The following is a theoretical PXRD pattern of Sc5Pt3. It was derived from a DFT-relaxed cell (GGA-PBE, Alexandria), using Cu Kα (weighted mean of Kα1 and Kα2).
Kinematic intensities with the Lorentz-polarization factor, no thermal factor.

Most intense lines, 5° ≤ 2θ ≤ 70°, in order of rising 2θ:
2θ = 23.90°, I 20
2θ = 24.35°, I 100
2θ = 26.77°, I 58
2θ = 35.36°, I 21
2θ = 36.41°, I 33
2θ = 38.22°, I 42
2θ = 38.52°, I 48
2θ = 46.61°, I 20
2θ = 49.17°, I 31
2θ = 51.12°, I 22

Structural model:
Unit cell a=10.532 b=10.532 c=5.794 alpha=90.00 beta=90.00 gamma=90.00
Atoms (fractional coordinates):
Sc1 0.038 0.164 0.144
Sc2 0.038 0.336 0.644
Sc3 0.164 0.038 0.644
Sc4 0.164 0.462 0.144
Sc5 0.250 0.750 0.000
Sc6 0.250 0.750 0.500
Sc7 0.336 0.038 0.144
Sc8 0.336 0.462 0.644
Sc9 0.462 0.164 0.644
Sc10 0.462 0.336 0.144
Sc11 0.538 0.664 0.856
Sc12 0.538 0.836 0.356
Sc13 0.664 0.538 0.356
Sc14 0.664 0.962 0.856
Sc15 0.750 0.250 0.000
Sc16 0.750 0.250 0.500
Sc17 0.836 0.538 0.856
Sc18 0.836 0.962 0.356
Sc19 0.962 0.664 0.356
Sc20 0.962 0.836 0.856
Pt1 0.094 0.594 0.750
Pt2 0.094 0.906 0.250
Pt3 0.250 0.250 0.400
Pt4 0.250 0.250 0.900
Pt5 0.406 0.594 0.250
Pt6 0.406 0.906 0.750
Pt7 0.594 0.094 0.250
Pt8 0.594 0.406 0.750
Pt9 0.750 0.750 0.100
Pt10 0.750 0.750 0.600
Pt11 0.906 0.094 0.750
Pt12 0.906 0.406 0.250

No. 7
The following is a theoretical PXRD pattern of Ba3InAg6Hg2. It was derived from a DFT-relaxed cell (GGA-PBE, Alexandria), using Cu Kα (weighted mean of Kα1 and Kα2).
Kinematic intensities with the Lorentz-polarization factor, no thermal factor.

Most intense lines, 5° ≤ 2θ ≤ 70°, in order of rising 2θ:
2θ = 26.77°, I 71
2θ = 29.14°, I 40
2θ = 32.54°, I 71
2θ = 33.10°, I 23
2θ = 33.22°, I 100
2θ = 36.79°, I 47
2θ = 43.07°, I 26
2θ = 51.52°, I 36
2θ = 55.17°, I 37
2θ = 63.60°, I 21

Structural model:
Unit cell a=6.660 b=6.660 c=9.193 alpha=90.00 beta=90.00 gamma=120.00
Atoms (fractional coordinates):
Ba1 0.000 0.000 0.000
Ba2 0.333 0.667 0.627
Ba3 0.667 0.333 0.373
In1 0.000 0.000 0.500
Ag1 0.189 0.378 0.289
Ag2 0.189 0.811 0.289
Ag3 0.378 0.189 0.711
Ag4 0.622 0.811 0.289
Ag5 0.811 0.189 0.711
Ag6 0.811 0.622 0.711
Hg1 0.333 0.667 0.013
Hg2 0.667 0.333 0.987

No. 8
The following is a theoretical PXRD pattern of Ca7Pm. It was derived from a DFT-relaxed cell (GGA-PBE, Alexandria), using Cu Kα (weighted mean of Kα1 and Kα2).
Kinematic intensities with the Lorentz-polarization factor, no thermal factor.

Most intense lines, 5° ≤ 2θ ≤ 70°, in order of rising 2θ:
2θ = 9.51°, I 60
2θ = 28.08°, I 38
2θ = 28.79°, I 100
2θ = 28.91°, I 91
2θ = 29.35°, I 46
2θ = 30.49°, I 45
2θ = 42.83°, I 34
2θ = 51.74°, I 33
2θ = 53.07°, I 23
2θ = 58.06°, I 26

Structural model:
Unit cell a=9.612 b=9.612 c=3.700 alpha=101.07 beta=101.07 gamma=78.58
Atoms (fractional coordinates):
Ca1 0.000 0.000 0.000
Ca2 0.116 0.632 0.373
Ca3 0.258 0.258 0.260
Ca4 0.368 0.884 0.627
Ca5 0.632 0.116 0.373
Ca6 0.742 0.742 0.740
Ca7 0.884 0.368 0.627
Pm1 0.500 0.500 0.000

No. 9
The following is a theoretical PXRD pattern of SiBRhCS. It was derived from a DFT-relaxed cell (GGA-PBE, Alexandria), using Cu Kα (weighted mean of Kα1 and Kα2).
Kinematic intensities with the Lorentz-polarization factor, no thermal factor.

Most intense lines, 5° ≤ 2θ ≤ 70°, in order of rising 2θ:
2θ = 11.31°, I 100
2θ = 22.73°, I 16
2θ = 34.39°, I 29
2θ = 35.40°, I 57
2θ = 36.04°, I 41
2θ = 38.49°, I 41
2θ = 44.68°, I 21
2θ = 47.19°, I 26
2θ = 47.29°, I 13
2θ = 63.15°, I 26

Structural model:
Unit cell a=2.945 b=2.945 c=8.012 alpha=100.75 beta=100.75 gamma=59.97
Atoms (fractional coordinates):
Si1 0.000 0.000 0.000
B1 0.229 0.229 0.686
Rh1 0.740 0.740 0.247
C1 0.294 0.294 0.885
S1 0.857 0.857 0.570